Record 1
The following is a simulated powder diffraction line list of Ta4BeN. It was derived from a structure optimized by DFT (PBE), using Cu Kα, 1.54184 Å.

Atomic structure:
a b c (Å): 6.2993 5.0752 6.3657
angles (deg): 90.00 119.91 90.00
Space group P2_1/c (No. 14)
Inequivalent atoms, fractional coordinates:
Ta  0.1583  0.2324  0.3445 [4 per cell]
Ta  0.3098  0.7423  0.1462 [4 per cell]
Be  0.5000  0.0000  0.0000 [2 per cell]
N  0.0000  0.0000  0.0000 [2 per cell]

Peak list (8 most intense, 10 to 90 degrees two-theta, by angle)
- 32.67 deg, I 24
- 32.80 deg, I 23
- 35.37 deg, I 59
- 37.09 deg, I 100
- 37.29 deg, I 71
- 37.40 deg, I 70
- 48.96 deg, I 36
- 64.80 deg, I 27



Record 2
The following is a simulated powder diffraction line list of PrGa2Ag6. It was derived from a structure optimized by DFT (PBE), using Cu Kα, 1.54184 Å.

Atomic structure:
a b c (Å): 4.3103 4.3103 9.5129
angles (deg): 90.00 90.00 90.00
Space group P4/mmm (No. 123)
Inequivalent atoms, fractional coordinates:
Pr  0.0000  0.0000  0.0000 [1 per cell]
Ga  0.5000  0.5000  0.1293 [2 per cell]
Ag  0.0000  0.0000  0.5000 [1 per cell]
Ag  0.0000  0.5000  0.2910 [4 per cell]
Ag  0.5000  0.5000  0.5000 [1 per cell]

Peak list (8 most intense, 10 to 90 degrees two-theta, by angle)
- 34.96 deg, I 100
- 35.13 deg, I 11
- 41.08 deg, I 29
- 41.92 deg, I 49
- 60.78 deg, I 16
- 65.44 deg, I 9
- 72.08 deg, I 22
- 76.00 deg, I 9



Record 3
The following is a simulated powder diffraction line list of TiVP2. It was derived from a structure optimized by DFT (PBE), using Cu Kα, 1.54184 Å.

Atomic structure:
a b c (Å): 3.4275 3.4275 17.2304
angles (deg): 90.00 90.00 120.00
Space group R3m (No. 160, hexagonal axes)
Inequivalent atoms, fractional coordinates:
Ti  0.0000  0.0000  0.0000 [3 per cell]
V  0.0000  0.0000  0.8222 [3 per cell]
P  0.0000  0.0000  0.4149 [3 per cell]
P  0.0000  0.0000  0.5747 [3 per cell]

Peak list (8 most intense, 10 to 90 degrees two-theta, by angle)
- 30.56 deg, I 25
- 31.89 deg, I 44
- 36.77 deg, I 20
- 40.09 deg, I 100
- 48.02 deg, I 45
- 53.47 deg, I 54
- 68.88 deg, I 18
- 88.93 deg, I 21



Record 4
The following is a simulated powder diffraction line list of Sm2Tm6Th3. It was derived from a structure optimized by DFT (PBE), using Cu Kα, 1.54184 Å.

Atomic structure:
a b c (Å): 6.0986 10.6817 11.4900
angles (deg): 90.00 101.65 90.00
Space group C2/m (No. 12)
Inequivalent atoms, fractional coordinates:
Sm  0.0000  0.1616  0.0000 [4 per cell]
Tm  0.2426  0.3345  0.2525 [8 per cell]
Tm  0.2439  0.0000  0.2578 [4 per cell]
Th  0.0000  0.0000  0.5000 [2 per cell]
Th  0.0000  0.3324  0.5000 [4 per cell]

Peak list (8 most intense, 10 to 90 degrees two-theta, by angle)
- 30.94 deg, I 50
- 31.09 deg, I 100
- 31.81 deg, I 49
- 35.92 deg, I 68
- 36.81 deg, I 32
- 51.80 deg, I 24
- 52.95 deg, I 23
- 61.14 deg, I 15



Record 5
The following is a simulated powder diffraction line list of ThZn9Ni3. It was derived from a structure optimized by DFT (PBE), using Cu Kα, 1.54184 Å.

Atomic structure:
a b c (Å): 5.0005 12.4911 6.7124
angles (deg): 90.00 111.48 90.00
Space group C2/m (No. 12)
Inequivalent atoms, fractional coordinates:
Th  0.0000  0.0000  0.0000 [2 per cell]
Zn  0.0000  0.5000  0.5000 [2 per cell]
Zn  0.1119  0.3853  0.2200 [8 per cell]
Zn  0.1574  0.1780  0.3421 [8 per cell]
Ni  0.0000  0.0000  0.5000 [2 per cell]
Ni  0.2500  0.2500  0.0000 [4 per cell]

Peak list (8 most intense, 10 to 90 degrees two-theta, by angle)
- 28.86 deg, I 29
- 35.30 deg, I 33
- 35.45 deg, I 31
- 40.88 deg, I 100
- 41.03 deg, I 65
- 41.14 deg, I 32
- 41.41 deg, I 37
- 41.59 deg, I 43



Record 6
The following is a simulated powder diffraction line list of Sc4InSi. It was derived from a structure optimized by DFT (PBE), using Cu Kα, 1.54184 Å.

Atomic structure:
a b c (Å): 8.1433 8.1433 8.1433
angles (deg): 90.00 90.00 90.00
Space group F-43m (No. 216)
Inequivalent atoms, fractional coordinates:
Sc  0.1248  0.1248  0.1248 [16 per cell]
In  0.0000  0.0000  0.5000 [4 per cell]
Si  0.2500  0.2500  0.7500 [4 per cell]

Peak list (8 most intense, 10 to 90 degrees two-theta, by angle)
- 18.88 deg, I 16
- 21.83 deg, I 18
- 31.06 deg, I 41
- 36.60 deg, I 100
- 38.29 deg, I 28
- 55.26 deg, I 15
- 58.93 deg, I 31
- 64.76 deg, I 22



Record 7
The following is a simulated powder diffraction line list of Mn5Os3. It was derived from a structure optimized by DFT (PBE), using Cu Kα, 1.54184 Å.

Atomic structure:
a b c (Å): 4.7699 12.6678 7.5062
angles (deg): 90.00 108.51 90.00
Space group C2 (No. 5)
Inequivalent atoms, fractional coordinates:
Mn  0.0883  0.0000  0.1774 [4 per cell]
Mn  0.1059  0.3460  0.2114 [4 per cell]
Mn  0.1407  0.6062  0.2828 [4 per cell]
Mn  0.1897  0.8061  0.3793 [4 per cell]
Mn  0.2245  0.1744  0.0001 [4 per cell]
Os  0.0000  0.4777  0.5000 [2 per cell]
Os  0.0000  0.5011  0.0000 [2 per cell]
Os  0.0000  0.8340  0.0000 [2 per cell]
Os  0.0000  0.9774  0.5000 [2 per cell]
Os  0.1840  0.1708  0.3697 [4 per cell]

Peak list (8 most intense, 10 to 90 degrees two-theta, by angle)
- 25.02 deg, I 22
- 27.43 deg, I 32
- 28.93 deg, I 25
- 40.61 deg, I 19
- 42.44 deg, I 59
- 42.77 deg, I 100
- 44.78 deg, I 29
- 54.58 deg, I 18



Record 8
The following is a simulated powder diffraction line list of Nd2SmTl3. It was derived from a structure optimized by DFT (PBE), using Cu Kα, 1.54184 Å.

Atomic structure:
a b c (Å): 3.8720 3.8720 11.8179
angles (deg): 90.00 90.00 90.00
Space group P4/mmm (No. 123)
Inequivalent atoms, fractional coordinates:
Nd  0.0000  0.0000  0.1685 [2 per cell]
Sm  0.0000  0.0000  0.5000 [1 per cell]
Tl  0.5000  0.5000  0.0000 [1 per cell]
Tl  0.5000  0.5000  0.3373 [2 per cell]

Peak list (8 most intense, 10 to 90 degrees two-theta, by angle)
- 32.42 deg, I 100
- 32.71 deg, I 49
- 46.08 deg, I 9
- 46.93 deg, I 18
- 57.65 deg, I 20
- 58.20 deg, I 38
- 67.88 deg, I 12
- 76.62 deg, I 8



Record 9
The following is a simulated powder diffraction line list of Ac3Tm2Cd2. It was derived from a structure optimized by DFT (PBE), using Cu Kα, 1.54184 Å.

Atomic structure:
a b c (Å): 5.3131 24.1192 3.7450
angles (deg): 90.00 90.00 90.00
Space group Cmmm (No. 65)
Inequivalent atoms, fractional coordinates:
Ac  0.0000  0.0000  0.0000 [2 per cell]
Ac  0.0000  0.1512  0.0000 [4 per cell]
Tm  0.0000  0.2868  0.5000 [4 per cell]
Cd  0.0000  0.4269  0.5000 [4 per cell]

Peak list (8 most intense, 10 to 90 degrees two-theta, by angle)
- 29.41 deg, I 92
- 30.93 deg, I 100
- 31.27 deg, I 19
- 32.68 deg, I 45
- 33.74 deg, I 42
- 47.68 deg, I 32
- 58.14 deg, I 20
- 58.76 deg, I 36



Record 10
The following is a simulated powder diffraction line list of Nd2ErTm5. It was derived from a structure optimized by DFT (PBE), using Cu Kα, 1.54184 Å.

Atomic structure:
a b c (Å): 16.0542 9.7958 6.5246
angles (deg): 90.00 99.77 90.00
Space group C2/c (No. 15)
Inequivalent atoms, fractional coordinates:
Nd  0.0802  0.2441  0.1209 [8 per cell]
Er  0.2500  0.2500  0.0000 [4 per cell]
Tm  0.0000  0.4409  0.7500 [4 per cell]
Tm  0.1010  0.0900  0.6491 [8 per cell]
Tm  0.1990  0.4135  0.5290 [8 per cell]

Peak list (8 most intense, 10 to 90 degrees two-theta, by angle)
- 29.67 deg, I 28
- 30.51 deg, I 23
- 30.69 deg, I 8
- 31.39 deg, I 23
- 31.70 deg, I 100
- 43.37 deg, I 9
- 44.53 deg, I 10
- 56.54 deg, I 11



Record 11
The following is a simulated powder diffraction line list of Ta2Zn3O8. It was derived from a structure optimized by DFT (PBE), using Cu Kα, 1.54184 Å.

Atomic structure:
a b c (Å): 8.9670 8.5192 9.6496
angles (deg): 90.00 115.71 90.00
Space group C2/c (No. 15)
Inequivalent atoms, fractional coordinates:
Ta  0.0798  0.1414  0.1265 [8 per cell]
Zn  0.0000  0.2385  0.7500 [4 per cell]
Zn  0.1592  0.4794  0.4975 [8 per cell]
O  0.0378  0.1006  0.6031 [8 per cell]
O  0.0517  0.3621  0.0889 [8 per cell]
O  0.1492  0.1330  0.3531 [8 per cell]
O  0.1984  0.3763  0.8551 [8 per cell]

Peak list (8 most intense, 10 to 90 degrees two-theta, by angle)
- 15.11 deg, I 72
- 20.77 deg, I 68
- 22.00 deg, I 41
- 23.25 deg, I 93
- 29.78 deg, I 100
- 32.34 deg, I 72
- 33.45 deg, I 72
- 57.20 deg, I 43



Record 12
The following is a simulated powder diffraction line list of Pr2Nd3Te6. It was derived from a structure optimized by DFT (PBE), using Cu Kα, 1.54184 Å.

Atomic structure:
a b c (Å): 7.7874 13.4260 7.7719
angles (deg): 90.00 109.54 90.00
Space group C2/m (No. 12)
Inequivalent atoms, fractional coordinates:
Pr  0.0000  0.1646  0.0000 [4 per cell]
Nd  0.0000  0.0000  0.5000 [2 per cell]
Nd  0.0000  0.3313  0.5000 [4 per cell]
Te  0.2402  0.5000  0.7535 [4 per cell]
Te  0.2429  0.3383  0.2453 [8 per cell]

Peak list (8 most intense, 10 to 90 degrees two-theta, by angle)
- 28.13 deg, I 100
- 40.19 deg, I 63
- 40.30 deg, I 13
- 49.83 deg, I 20
- 58.23 deg, I 8
- 65.82 deg, I 17
- 65.95 deg, I 11
- 73.07 deg, I 11